1.
For Na6CuCl8, a structure optimized by DFT (PBE) gives the calculated X-ray diffraction stick pattern in this record (CuKα).
Neutral-atom scattering factors, no anomalous dispersion.

Atomic structure:
```
data_Na6CuCl8
_space_group_name_H-M_alt 'F m -3 m'
_space_group_IT_number 225
_space_group_name_Hall '-F 4 2 3'
_cell_length_a 11.250
_cell_length_b 11.250
_cell_length_c 11.250
_cell_angle_alpha 90.00
_cell_angle_beta 90.00
_cell_angle_gamma 90.00
loop_
_atom_site_label
_atom_site_fract_x
_atom_site_fract_y
_atom_site_fract_z
Na1 0.000 0.250 0.250
Cu1 0.000 0.000 0.000
Cl1 0.000 0.000 0.222
Cl2 0.250 0.250 0.250
```

Top 6 peaks for 10 to 90 degrees two-theta, by angle:
hkl 1 1 1, 13.63 deg, rel. 52
hkl 4 0 0, 31.82 deg, rel. 100
hkl 5 1 1, 41.72 deg, rel. 17
hkl 4 4 0, 45.62 deg, rel. 62
hkl 4 4 4, 56.69 deg, rel. 19
hkl 8 4 0, 75.60 deg, rel. 19

2.
For RbSn4Pt, a structure optimized by DFT (PBE) gives the calculated X-ray diffraction stick pattern in this record (CuKα).
Neutral-atom scattering factors, no anomalous dispersion.

Atomic structure:
```
data_RbSn4Pt
_space_group_name_H-M_alt 'C 1 2/m 1'
_space_group_IT_number 12
_cell_length_a 18.267
_cell_length_b 8.732
_cell_length_c 5.653
_cell_angle_alpha 90.00
_cell_angle_beta 107.99
_cell_angle_gamma 90.00
loop_
_space_group_symop_operation_xyz
'x,y,z'
'-x,-y,-z'
'-x,y,-z'
'x,-y,z'
'x+1/2,y+1/2,z'
'-x+1/2,-y+1/2,-z'
'-x+1/2,y+1/2,-z'
'x+1/2,-y+1/2,z'
loop_
_atom_site_label
_atom_site_fract_x
_atom_site_fract_y
_atom_site_fract_z
Rb1 0.191 0.000 0.190
Sn1 0.000 0.222 0.000
Sn2 0.103 0.307 0.602
Sn3 0.141 0.500 0.141
Pt1 0.000 0.500 0.251
```

Top 6 peaks for 10 to 90 degrees two-theta, by angle:
hkl 2 0 0, 10.18 deg, rel. 66
hkl 1 1 0, 11.34 deg, rel. 100
hkl 4 0 1, 30.14 deg, rel. 58
hkl 2 0 2, 37.96 deg, rel. 16
hkl 0 2 2, 39.36 deg, rel. 25
hkl 3 1 2, 42.51 deg, rel. 18

3.
For AcSm2ScSe6, a structure optimized by DFT (PBE) gives the calculated X-ray diffraction stick pattern in this record (CuKα).
Neutral-atom scattering factors, no anomalous dispersion.

Atomic structure:
```
data_AcSm2ScSe6
_space_group_name_H-M_alt 'R 3'
_space_group_IT_number 146
_space_group_name_Hall 'R 3'
_cell_length_a 7.3714
_cell_length_b 7.3714
_cell_length_c 19.6033
_cell_angle_alpha 90.00
_cell_angle_beta 90.00
_cell_angle_gamma 120.00
loop_
_atom_site_label
_atom_site_fract_x
_atom_site_fract_y
_atom_site_fract_z
Ac1 0.0000 0.0000 0.0000
Sm1 0.0000 0.0000 0.2854
Sm2 0.0000 0.0000 0.7962
Sc1 0.0000 0.0000 0.4850
Se1 0.0279 0.7311 0.3930
Se2 0.0286 0.3375 0.5566
```

Top 6 peaks for 10 to 90 degrees two-theta, by angle:
hkl 1 0 4, 22.88 deg, rel. 76
hkl 1 1 3, 27.79 deg, rel. 95
hkl 0 2 4, 33.50 deg, rel. 54
hkl 2 -1 6, 36.76 deg, rel. 100
hkl 3 -1 4, 41.73 deg, rel. 51
hkl 3 0 0, 42.48 deg, rel. 76

4.
For K2ScCdGa, a structure optimized by DFT (PBE) gives the calculated X-ray diffraction stick pattern in this record (CuKα).
Neutral-atom scattering factors, no anomalous dispersion.

Atomic structure:
```
data_K2ScCdGa
_space_group_name_H-M_alt 'P 4/m m m'
_space_group_IT_number 123
_space_group_name_Hall '-P 4 2'
_cell_length_a 6.492
_cell_length_b 6.492
_cell_length_c 4.967
_cell_angle_alpha 90.00
_cell_angle_beta 90.00
_cell_angle_gamma 90.00
loop_
_atom_site_label
_atom_site_fract_x
_atom_site_fract_y
_atom_site_fract_z
K1 0.000 0.500 0.000
Sc1 0.000 0.000 0.500
Cd1 0.500 0.500 0.000
Ga1 0.500 0.500 0.500
```

Top 6 peaks for 10 to 90 degrees two-theta, by angle:
hkl 1 0 0, 13.64 deg, rel. 100
hkl 1 1 0, 19.34 deg, rel. 52
hkl 2 0 0, 27.48 deg, rel. 98
hkl 2 1 0, 30.80 deg, rel. 30
hkl 2 2 0, 39.25 deg, rel. 36
hkl 2 0 2, 46.02 deg, rel. 45

5.
For Ho3HgS2, a structure optimized by DFT (PBE) gives the calculated X-ray diffraction stick pattern in this record (CuKα).
Neutral-atom scattering factors, no anomalous dispersion.

Atomic structure:
```
data_Ho3HgS2
_space_group_name_H-M_alt 'C m c m'
_space_group_IT_number 63
_space_group_name_Hall '-C 2c 2'
_cell_length_a 4.635
_cell_length_b 12.553
_cell_length_c 9.861
_cell_angle_alpha 90.00
_cell_angle_beta 90.00
_cell_angle_gamma 90.00
loop_
_atom_site_label
_atom_site_fract_x
_atom_site_fract_y
_atom_site_fract_z
Ho1 0.000 0.104 0.250
Ho2 0.000 0.363 0.054
Hg1 0.000 0.230 0.750
S1 0.000 0.000 0.000
S2 0.000 0.487 0.750
```

Top 6 peaks for 10 to 90 degrees two-theta, by angle:
hkl 1 1 2, 27.35 deg, rel. 41
hkl 1 3 1, 30.17 deg, rel. 76
hkl 0 2 3, 30.70 deg, rel. 36
hkl 1 3 2, 34.14 deg, rel. 100
hkl 2 0 0, 38.86 deg, rel. 37
hkl 1 3 5, 55.17 deg, rel. 24

6.
For CaMgBN2, a structure optimized by DFT (PBE) gives the calculated X-ray diffraction stick pattern in this record (CuKα).
Neutral-atom scattering factors, no anomalous dispersion.

Atomic structure:
```
data_CaMgBN2
_space_group_name_H-M_alt 'P 1 2/c 1'
_space_group_IT_number 13
_cell_length_a 5.254
_cell_length_b 4.576
_cell_length_c 6.233
_cell_angle_alpha 90.00
_cell_angle_beta 90.06
_cell_angle_gamma 90.00
loop_
_space_group_symop_operation_xyz
'x,y,z'
'-x,-y,-z'
'-x,y,-z+1/2'
'x,-y,z+1/2'
loop_
_atom_site_label
_atom_site_fract_x
_atom_site_fract_y
_atom_site_fract_z
Ca1 0.000 0.000 0.250
Mg1 0.500 0.500 0.250
B1 0.500 0.000 0.000
N1 0.316 0.211 0.000
```

Top 6 peaks for 10 to 90 degrees two-theta, by angle:
hkl 0 1 0, 19.40 deg, rel. 31
hkl 1 1 0, 25.82 deg, rel. 81
hkl 1 1 2, 38.94 deg, rel. 100
hkl 2 0 2, 45.14 deg, rel. 31
hkl 0 2 2, 49.42 deg, rel. 26
hkl 2 2 0, 53.08 deg, rel. 24

7.
For HgH2Pd3, a structure optimized by DFT (PBE) gives the calculated X-ray diffraction stick pattern in this record (CuKα).
Neutral-atom scattering factors, no anomalous dispersion.

Atomic structure:
```
data_HgH2Pd3
_space_group_name_H-M_alt 'I m m a'
_space_group_IT_number 74
_space_group_name_Hall '-I 2b 2'
_cell_length_a 5.579
_cell_length_b 9.402
_cell_length_c 5.703
_cell_angle_alpha 90.00
_cell_angle_beta 90.00
_cell_angle_gamma 90.00
loop_
_atom_site_label
_atom_site_fract_x
_atom_site_fract_y
_atom_site_fract_z
Hg1 0.000 0.250 0.188
H1 0.000 0.110 0.652
Pd1 0.245 0.000 0.500
Pd2 0.250 0.250 0.750
```

Top 6 peaks for 10 to 90 degrees two-theta, by angle:
hkl 0 2 2, 36.87 deg, rel. 100
hkl 2 1 1, 37.13 deg, rel. 77
hkl 2 2 0, 37.49 deg, rel. 41
hkl 0 4 0, 38.29 deg, rel. 56
hkl 2 3 1, 46.39 deg, rel. 42
hkl 4 2 2, 79.10 deg, rel. 21

8.
For Er3Sc2S7, a structure optimized by DFT (PBE) gives the calculated X-ray diffraction stick pattern in this record (CuKα).
Neutral-atom scattering factors, no anomalous dispersion.

Atomic structure:
```
data_Er3Sc2S7
_space_group_name_H-M_alt 'C 1 2/m 1'
_space_group_IT_number 12
_cell_length_a 12.368
_cell_length_b 3.717
_cell_length_c 11.334
_cell_angle_alpha 90.00
_cell_angle_beta 104.97
_cell_angle_gamma 90.00
loop_
_space_group_symop_operation_xyz
'x,y,z'
'-x,-y,-z'
'-x,y,-z'
'x,-y,z'
'x+1/2,y+1/2,z'
'-x+1/2,-y+1/2,-z'
'-x+1/2,y+1/2,-z'
'x+1/2,-y+1/2,z'
loop_
_atom_site_label
_atom_site_fract_x
_atom_site_fract_y
_atom_site_fract_z
Er1 0.000 0.000 0.000
Er2 0.197 0.500 0.801
Sc1 0.111 0.000 0.428
S1 0.000 0.500 0.500
S2 0.034 0.000 0.778
S3 0.162 0.500 0.053
S4 0.237 0.500 0.360
```

Top 6 peaks for 10 to 90 degrees two-theta, by angle:
hkl 2 0 2, 24.73 deg, rel. 95
hkl 2 0 -3, 25.09 deg, rel. 100
hkl 1 1 -1, 25.79 deg, rel. 63
hkl 4 0 -1, 28.90 deg, rel. 89
hkl 3 1 0, 32.96 deg, rel. 83
hkl 3 1 1, 35.41 deg, rel. 73

9.
For Ba2NiTe2, a structure optimized by DFT (PBE) gives the calculated X-ray diffraction stick pattern in this record (CuKα).
Neutral-atom scattering factors, no anomalous dispersion.

Atomic structure:
```
data_Ba2NiTe2
_space_group_name_H-M_alt 'P 4/m b m'
_space_group_IT_number 127
_space_group_name_Hall '-P 4 2ab'
_cell_length_a 9.242
_cell_length_b 9.242
_cell_length_c 4.531
_cell_angle_alpha 90.00
_cell_angle_beta 90.00
_cell_angle_gamma 90.00
loop_
_atom_site_label
_atom_site_fract_x
_atom_site_fract_y
_atom_site_fract_z
Ba1 0.149 0.351 0.000
Ni1 0.000 0.000 0.000
Te1 0.158 0.658 0.500
```

Top 6 peaks for 10 to 90 degrees two-theta, by angle:
hkl 2 1 1, 29.25 deg, rel. 100
hkl 3 1 0, 30.59 deg, rel. 35
hkl 0 0 2, 39.78 deg, rel. 12
hkl 4 1 1, 45.13 deg, rel. 15
hkl 3 1 2, 51.00 deg, rel. 16
hkl 5 2 1, 57.42 deg, rel. 21

10.
For LaDy6Tm6, a structure optimized by DFT (PBE) gives the calculated X-ray diffraction stick pattern in this record (CuKα).
Neutral-atom scattering factors, no anomalous dispersion.

Atomic structure:
```
data_LaDy6Tm6
_space_group_name_H-M_alt 'P 6/m m m'
_space_group_IT_number 191
_space_group_name_Hall '-P 6 2'
_cell_length_a 6.6127
_cell_length_b 6.6127
_cell_length_c 11.3828
_cell_angle_alpha 90.00
_cell_angle_beta 90.00
_cell_angle_gamma 120.00
loop_
_atom_site_label
_atom_site_fract_x
_atom_site_fract_y
_atom_site_fract_z
La1 0.0000 0.0000 0.0000
Dy1 0.0000 0.0000 0.3502
Dy2 0.3333 0.6667 0.0000
Dy3 0.3333 0.6667 0.5000
Tm1 0.0000 0.5000 0.2453
```

Top 6 peaks for 10 to 90 degrees two-theta, by angle:
hkl 1 1 0, 26.97 deg, rel. 25
hkl 2 0 0, 31.27 deg, rel. 100
hkl 0 0 4, 31.44 deg, rel. 22
hkl 2 0 2, 35.08 deg, rel. 73
hkl 1 0 4, 35.22 deg, rel. 26
hkl 2 2 0, 55.59 deg, rel. 26

11.
For Y6Ho3Mg, a structure optimized by DFT (PBE) gives the calculated X-ray diffraction stick pattern in this record (CuKα).
Neutral-atom scattering factors, no anomalous dispersion.

Atomic structure:
```
data_Y6Ho3Mg
_space_group_name_H-M_alt 'C m c 21'
_space_group_IT_number 36
_cell_length_a 9.279
_cell_length_b 15.267
_cell_length_c 8.896
_cell_angle_alpha 90.00
_cell_angle_beta 90.00
_cell_angle_gamma 90.00
loop_
_space_group_symop_operation_xyz
'x,y,z'
'-x,-y,z+1/2'
'-x,y,z'
'x,-y,z+1/2'
'x+1/2,y+1/2,z'
'-x+1/2,-y+1/2,z+1/2'
'-x+1/2,y+1/2,z'
'x+1/2,-y+1/2,z+1/2'
loop_
_atom_site_label
_atom_site_fract_x
_atom_site_fract_y
_atom_site_fract_z
Y1 0.000 0.057 0.000
Y2 0.000 0.283 0.888
Y3 0.172 0.348 0.486
Y4 0.239 0.063 0.317
Ho1 0.000 0.455 0.127
Ho2 0.177 0.146 0.648
Mg1 0.000 0.223 0.245
```

Top 6 peaks for 10 to 90 degrees two-theta, by angle:
hkl 1 3 2, 28.33 deg, rel. 36
hkl 2 2 2, 30.20 deg, rel. 38
hkl 3 1 1, 31.17 deg, rel. 49
hkl 2 4 1, 31.99 deg, rel. 39
hkl 0 2 3, 32.42 deg, rel. 100
hkl 3 1 2, 35.85 deg, rel. 26

12.
For CuHBr3, a structure optimized by DFT (PBE) gives the calculated X-ray diffraction stick pattern in this record (CuKα).
Neutral-atom scattering factors, no anomalous dispersion.

Atomic structure:
```
data_CuHBr3
_space_group_name_H-M_alt 'P -1'
_space_group_IT_number 2
_cell_length_a 4.019
_cell_length_b 7.222
_cell_length_c 11.422
_cell_angle_alpha 74.16
_cell_angle_beta 86.57
_cell_angle_gamma 86.03
loop_
_space_group_symop_operation_xyz
'x,y,z'
'-x,-y,-z'
loop_
_atom_site_label
_atom_site_fract_x
_atom_site_fract_y
_atom_site_fract_z
Cu1 0.142 0.226 0.199
H1 0.249 0.669 0.094
Br1 0.104 0.927 0.610
Br2 0.169 0.568 0.223
Br3 0.328 0.837 0.903
```

Top 6 peaks for 10 to 90 degrees two-theta, by angle:
hkl 0 1 1, 13.13 deg, rel. 100
hkl 0 0 2, 16.15 deg, rel. 31
hkl 0 1 -2, 23.25 deg, rel. 59
hkl 0 2 1, 24.74 deg, rel. 90
hkl -1 1 1, 26.78 deg, rel. 58
hkl 1 0 -3, 33.87 deg, rel. 31